Calculated X-ray powder pattern
Compound: RbLiUO4
Radiation: Cu Kα (λ = 1.5418 Å)
Structure: DFT lattice parameters and positions (GGA-PBE)
Kinematic intensities with the Lorentz-polarization factor, no thermal factor.

Atomic structure:
Unit cell a=5.572 b=5.640 c=7.248 alpha=90.00 beta=98.89 gamma=90.00
Atoms (fractional coordinates):
Rb 0.197 0.250 0.078
Rb 0.803 0.750 0.922
Li 0.357 0.250 0.679
Li 0.643 0.750 0.321
U 0.189 0.750 0.462
U 0.811 0.250 0.538
O 0.108 0.005 0.667
O 0.108 0.495 0.667
O 0.307 0.750 0.216
O 0.457 0.250 0.435
O 0.543 0.750 0.565
O 0.693 0.250 0.784
O 0.892 0.505 0.333
O 0.892 0.995 0.333

The 12 most intense peaks (2θ = 10–90°), sorted by position:
2theta  d_spacing  intensity  index
12.4  7.161  99  0 0 1
16.1  5.505  23  1 0 0
22.6  3.940  29  1 1 0
24.6  3.625  100  1 1 -1
24.9  3.580  33  0 0 2
27.0  3.301  73  1 1 1
29.6  3.023  22  0 1 2
31.7  2.820  36  0 2 0
31.9  2.809  31  1 1 -2
40.2  2.244  21  2 1 1
40.7  2.215  24  0 2 2
53.7  1.707  22  1 3 1